The following is a calculated PXRD pattern of Pu2Th2Te7. It was derived from the GGA-PBE geometry in Alexandria, using Cu Ka.

abc: 5.313 5.313 14.789
angles: 90.00 90.00 90.00
Space group P-4m2 (No. 115)
One atom of each set of equivalent atoms:
Pu: 0.000 0.500 0.132
Th: 0.000 0.500 0.628
Te: 0.000 0.000 0.237
Te: 0.000 0.000 0.500
Te: 0.500 0.500 0.000
Te: 0.500 0.500 0.252
Te: 0.500 0.500 0.500

The 10 most intense peaks (2θ from 10° to 90°), by angle:
| d/Å | intensity | hkl |
| --- | --- | --- |
| 4.315 | 94 | 1 0 2 |
| 2.657 | 52 | 2 0 0 |
| 2.635 | 100 | 1 1 4 |
| 2.262 | 36 | 2 1 2 |
| 2.236 | 17 | 1 0 6 |
| 1.878 | 19 | 2 2 0 |
| 1.711 | 15 | 2 1 6 |
| 1.530 | 39 | 3 1 4 |
| 1.517 | 17 | 2 0 8 |
| 1.318 | 11 | 2 2 8 |

The following is a calculated PXRD pattern of CdNi4Se8. It was derived from the GGA-PBE geometry in Alexandria, using Cu Ka.

abc: 10.391 10.391 10.391
angles: 90.00 90.00 90.00
Space group F-43m (No. 216)
One atom of each set of equivalent atoms:
Cd: 0.000 0.000 0.000
Ni: 0.121 0.121 0.379
Se: 0.109 0.109 0.609
Se: 0.144 0.144 0.144

The 10 most intense peaks (2θ from 10° to 90°), by angle:
| d/Å | intensity | hkl |
| --- | --- | --- |
| 5.999 | 56 | 1 1 1 |
| 3.674 | 19 | 2 2 0 |
| 3.133 | 45 | 3 1 1 |
| 2.999 | 44 | 2 2 2 |
| 2.598 | 94 | 4 0 0 |
| 2.000 | 66 | 5 1 1 |
| 1.837 | 100 | 4 4 0 |
| 1.500 | 16 | 4 4 4 |
| 1.455 | 18 | 5 5 1 |
| 1.353 | 14 | 5 5 3 |

The following is a calculated PXRD pattern of WNCl3. It was derived from the GGA-PBE geometry in Alexandria, using Cu Ka.

abc: 8.413 8.551 9.312
angles: 108.44 98.05 109.32
Space group P-1 (No. 2)
One atom of each set of equivalent atoms:
W: 0.053 0.006 0.230
W: 0.343 0.113 0.619
N: 0.163 0.053 0.692
N: 0.212 0.046 0.394
Cl: 0.042 0.300 0.898
Cl: 0.056 0.291 0.300
Cl: 0.222 0.057 0.054
Cl: 0.360 0.826 0.526
Cl: 0.386 0.404 0.655
Cl: 0.431 0.790 0.160

The 10 most intense peaks (2θ from 10° to 90°), by angle:
| d/Å | intensity | hkl |
| --- | --- | --- |
| 7.437 | 100 | 0 1 0 |
| 7.135 | 19 | 0 1 -1 |
| 6.875 | 30 | 1 -1 0 |
| 4.037 | 16 | 1 -2 0 |
| 3.905 | 19 | 2 0 -1 |
| 3.812 | 33 | 1 -1 2 |
| 3.345 | 20 | 1 0 2 |
| 3.328 | 23 | 2 0 -2 |
| 2.990 | 18 | 2 1 -2 |
| 2.695 | 20 | 1 -3 0 |

The following is a calculated PXRD pattern of AcAgOs2O7. It was derived from the GGA-PBE geometry in Alexandria, using Cu Ka.

abc: 3.904 3.904 10.720
angles: 90.00 90.00 90.00
Space group P4/mmm (No. 123)
One atom of each set of equivalent atoms:
Ac: 0.000 0.000 0.000
Ag: 0.000 0.000 0.500
Os: 0.500 0.500 0.206
O: 0.000 0.500 0.175
O: 0.500 0.500 0.000
O: 0.500 0.500 0.375

The 10 most intense peaks (2θ from 10° to 90°), by angle:
| d/Å | intensity | hkl |
| --- | --- | --- |
| 3.156 | 100 | 1 0 2 |
| 2.761 | 42 | 1 1 0 |
| 2.678 | 13 | 0 0 4 |
| 2.636 | 18 | 1 0 3 |
| 1.952 | 21 | 2 0 0 |
| 1.923 | 19 | 1 1 4 |
| 1.693 | 9 | 1 1 5 |
| 1.660 | 32 | 2 1 2 |
| 1.569 | 8 | 2 1 3 |
| 1.443 | 7 | 2 0 5 |

The following is a calculated PXRD pattern of Na5Cd2Ag. It was derived from the GGA-PBE geometry in Alexandria, using Cu Ka.

abc: 6.684 13.371 4.731
angles: 90.00 90.00 90.00
Space group Pbam (No. 55)
One atom of each set of equivalent atoms:
Na: 0.000 0.000 0.000
Na: 0.012 0.260 0.000
Na: 0.247 0.879 0.500
Cd: 0.227 0.615 0.500
Ag: 0.000 0.500 0.000

The 10 most intense peaks (2θ from 10° to 90°), by angle:
| d/Å | intensity | hkl |
| --- | --- | --- |
| 6.686 | 15 | 0 2 0 |
| 5.978 | 21 | 1 1 0 |
| 4.727 | 34 | 1 2 0 |
| 3.344 | 29 | 1 2 1 |
| 2.730 | 100 | 0 4 1 |
| 2.364 | 49 | 0 0 2 |
| 2.115 | 15 | 1 2 2 |
| 1.930 | 10 | 1 6 1 |
| 1.672 | 30 | 2 4 2 |
| 1.426 | 33 | 0 4 3 |

The following is a calculated PXRD pattern of Ba2Ca2NdTi2Cu2O12. It was derived from the GGA-PBE geometry in Alexandria, using Cu Ka.

abc: 3.936 3.936 35.667
angles: 90.00 90.00 90.00
Space group I4/mmm (No. 139)
One atom of each set of equivalent atoms:
Ba: 0.000 0.000 0.108
Ca: 0.000 0.000 0.214
Nd: 0.000 0.000 0.000
Ti: 0.000 0.000 0.331
Cu: 0.000 0.000 0.447
O: 0.000 0.000 0.277
O: 0.000 0.000 0.388
O: 0.000 0.500 0.042
O: 0.000 0.500 0.169

The 10 most intense peaks (2θ from 10° to 90°), by angle:
| d/Å | intensity | hkl |
| --- | --- | --- |
| 3.912 | 14 | 1 0 1 |
| 2.793 | 100 | 1 0 9 |
| 2.783 | 52 | 1 1 0 |
| 2.503 | 14 | 1 0 11 |
| 2.194 | 16 | 1 1 10 |
| 1.968 | 35 | 2 0 0 |
| 1.614 | 20 | 1 1 18 |
| 1.609 | 37 | 2 1 9 |
| 1.396 | 16 | 2 0 18 |
| 1.245 | 16 | 3 1 0 |